Starting from a structure optimized by DFT (GGA-PBE), the X-ray powder pattern of CePu2Zn2Au2 was simulated for Cu Kα (λ = 1.5418 Å).
Lines closer than 0.1° are merged.

Peak list (8 most intense, 2θ = 5–70°, by intensity)
(3 1 -1), 37.52°, I = 1000
(1 1 2), 34.70°, I = 748
(1 1 -3), 38.13°, I = 527
(0 2 0), 37.66°, I = 496
(1 1 0), 21.77°, I = 385
(2 0 -3), 34.94°, I = 380
(2 0 2), 37.78°, I = 275
(2 2 -3), 52.31°, I = 245

Cell and atoms:
abc: 8.3149 4.7775 8.1424
angles: 90.00 109.26 90.00
Space group C2/m (No. 12)
Symmetry-distinct sites (fractional):
Ce1 0.0000 0.0000 0.0000 [2 per cell]
Pu1 0.1297 0.0000 0.3993 [4 per cell]
Zn1 0.0979 0.5000 0.7879 [4 per cell]
Au1 0.2318 0.5000 0.2006 [4 per cell]


Starting from a structure optimized by DFT (GGA-PBE), the X-ray powder pattern of PaF4 was simulated for Cu Kα (λ = 1.5418 Å).
Lines closer than 0.1° are merged.

Peak list (8 most intense, 2θ = 5–70°, by intensity)
(1 0 1), 23.89°, I = 1000
(1 1 0), 24.21°, I = 523
(2 1 1), 42.40°, I = 519
(1 1 2), 41.83°, I = 265
(2 0 2), 48.91°, I = 225
(3 1 2), 66.83°, I = 135
(1 0 3), 54.52°, I = 133
(3 0 1), 55.76°, I = 126

Cell and atoms:
abc: 5.2000 5.2000 5.3363
angles: 90.00 90.00 90.00
Space group P-42_1c (No. 114)
Symmetry-distinct sites (fractional):
Pa1 0.0000 0.0000 0.0000 [2 per cell]
F1 0.1932 0.2429 0.3200 [8 per cell]


Starting from a structure optimized by DFT (GGA-PBE), the X-ray powder pattern of BC11 was simulated for Cu Kα (λ = 1.5418 Å).
Lines closer than 0.1° are merged.

Peak list (6 most intense, 2θ = 5–70°, by intensity)
(1 1 -2), 43.60°, I = 1000
(2 0 2), 43.35°, I = 990
(0 0 1), 13.52°, I = 35
(2 0 -2), 27.22°, I = 14
(2 0 -1), 21.28°, I = 9
(2 0 0), 23.22°, I = 9

Cell and atoms:
abc: 8.4743 2.5322 7.2476
angles: 90.00 115.31 90.00
Space group Cm (No. 8)
Symmetry-distinct sites (fractional):
B1 0.0000 0.0000 0.0000 [2 per cell]
C1 0.9998 0.5000 0.8570 [2 per cell]
C2 0.0013 0.0000 0.4945 [2 per cell]
C3 0.0015 0.5000 0.3705 [2 per cell]
C4 0.1668 0.5000 0.8265 [2 per cell]
C5 0.1694 0.0000 0.7020 [2 per cell]
C6 0.1691 0.5000 0.3309 [2 per cell]
C7 0.1706 0.0000 0.2115 [2 per cell]
C8 0.3275 0.5000 0.0388 [2 per cell]
C9 0.3319 0.0000 0.1630 [2 per cell]
C10 0.3347 0.0000 0.6592 [2 per cell]
C11 0.3349 0.5000 0.5357 [2 per cell]


Starting from a structure optimized by DFT (GGA-PBE), the X-ray powder pattern of CeMnB14 was simulated for Cu Kα (λ = 1.5418 Å).
Lines closer than 0.1° are merged.

Peak list (8 most intense, 2θ = 5–70°, by intensity)
(0 2 0), 16.44°, I = 1000
(1 1 2), 27.63°, I = 823
(1 2 1), 24.90°, I = 737
(2 3 1), 41.29°, I = 688
(2 1 1), 33.57°, I = 685
(1 3 2), 36.46°, I = 598
(1 2 3), 39.72°, I = 348
(1 0 1), 18.57°, I = 344

Cell and atoms:
abc: 5.8423 10.7837 8.3038
angles: 90.00 90.00 90.00
Space group Imma (No. 74)
Symmetry-distinct sites (fractional):
Ce1 0.0000 0.2500 0.1273 [4 per cell]
Mn1 0.2500 0.2500 0.7500 [4 per cell]
B1 0.0000 0.0838 0.6688 [8 per cell]
B2 0.0000 0.1288 0.8672 [8 per cell]
B3 0.0000 0.1666 0.4681 [8 per cell]
B4 0.1609 0.0602 0.3399 [16 per cell]
B5 0.2487 0.0772 0.5478 [16 per cell]


Starting from a structure optimized by DFT (GGA-PBE), the X-ray powder pattern of Tb4TlSe2S was simulated for Cu Kα (λ = 1.5418 Å).
Lines closer than 0.1° are merged.

Peak list (8 most intense, 2θ = 5–70°, by intensity)
(1 1 1), 30.55°, I = 1000
(1 1 -3), 43.64°, I = 750
(2 0 -2), 30.40°, I = 511
(0 0 4), 53.44°, I = 200
(2 2 -2), 54.96°, I = 193
(2 0 2), 42.85°, I = 191
(0 2 0), 44.63°, I = 178
(2 2 2), 63.59°, I = 119

Cell and atoms:
abc: 7.2380 4.0605 7.2397
angles: 90.00 108.66 90.00
Space group P2/m (No. 10)
Symmetry-distinct sites (fractional):
Tb1 0.2359 0.0000 0.2409 [2 per cell]
Tb2 0.2365 0.5000 0.7431 [2 per cell]
Tl1 0.5000 0.0000 0.0000 [1 per cell]
Se1 0.0000 0.0000 0.5000 [1 per cell]
Se2 0.5000 0.5000 0.5000 [1 per cell]
S1 0.0000 0.5000 0.0000 [1 per cell]


Starting from a structure optimized by DFT (GGA-PBE), the X-ray powder pattern of Pm4Dy9Cd11 was simulated for Cu Kα (λ = 1.5418 Å).
Lines closer than 0.1° are merged.

Peak list (8 most intense, 2θ = 5–70°, by intensity)
(4 6 0), 32.42°, I = 1000
(4 0 1), 33.79°, I = 658
(0 6 1), 34.59°, I = 624
(5 5 0), 34.11°, I = 412
(5 11 1), 59.00°, I = 311
(9 5 1), 61.67°, I = 265
(5 1 1), 38.07°, I = 249
(4 6 2), 62.34°, I = 216

Cell and atoms:
abc: 16.0516 22.8865 3.5356
angles: 90.00 90.00 90.00
Space group Cmmm (No. 65)
Symmetry-distinct sites (fractional):
Pm1 0.1667 0.0834 0.0000 [8 per cell]
Dy1 0.0000 0.0000 0.0000 [2 per cell]
Dy2 0.1108 0.4044 0.0000 [8 per cell]
Dy3 0.1146 0.2303 0.0000 [8 per cell]
Cd1 0.0000 0.1308 0.5000 [4 per cell]
Cd2 0.0000 0.3166 0.5000 [4 per cell]
Cd3 0.0000 0.5000 0.5000 [2 per cell]
Cd4 0.2053 0.5000 0.5000 [4 per cell]
Cd5 0.2285 0.3177 0.5000 [8 per cell]